Entry 1:
Theoretical powder X-ray diffraction pattern
Compound: Ta10Si2MoSe8
Radiation: Cu Kα, 1.54184 Å
Structure: DFT lattice parameters and positions (PBE)
Peak positions follow from Bragg's law for the DFT cell and can differ from measured ones.

Atomic structure:
abc: 11.982 19.490 3.491
angles: 90.00 90.00 90.00
Space group Pnnm (No. 58)
Asymmetric unit:
Ta 0.051 0.241 0.000 [4 per cell]
Ta 0.064 0.113 0.500 [4 per cell]
Ta 0.159 0.786 0.500 [4 per cell]
Ta 0.175 0.953 0.500 [4 per cell]
Ta 0.182 0.355 0.500 [4 per cell]
Si 0.091 0.871 0.000 [4 per cell]
Mo 0.000 0.000 0.000 [2 per cell]
Se 0.036 0.673 0.500 [4 per cell]
Se 0.112 0.446 0.000 [4 per cell]
Se 0.210 0.056 0.000 [4 per cell]
Se 0.219 0.211 0.500 [4 per cell]

Largest 10 diffraction maxima, low angle first, 2θ from 15° to 90°:
| 2θ/deg | I_rel | h k l |
| --- | --- | --- |
| 32.42 | 45 | 1 4 1 |
| 34.11 | 37 | 3 0 1 |
| 35.33 | 100 | 1 5 1 |
| 36.89 | 36 | 3 3 1 |
| 37.71 | 48 | 2 5 1 |
| 37.87 | 31 | 4 5 0 |
| 38.68 | 36 | 5 2 0 |
| 40.77 | 83 | 4 2 1 |
| 41.48 | 26 | 0 7 1 |
| 52.43 | 38 | 0 0 2 |

---

Entry 2:
Theoretical powder X-ray diffraction pattern
Compound: Sn2MoSe2
Radiation: Cu Kα, 1.54184 Å
Structure: DFT lattice parameters and positions (PBE)
Peak positions follow from Bragg's law for the DFT cell and can differ from measured ones.

Atomic structure:
abc: 6.458 6.458 5.930
angles: 90.00 90.00 90.00
Space group P4/mbm (No. 127)
Asymmetric unit:
Sn 0.223 0.277 0.000 [4 per cell]
Mo 0.000 0.000 0.500 [2 per cell]
Se 0.151 0.349 0.500 [4 per cell]

Largest 10 diffraction maxima, low angle first, 2θ from 15° to 90°:
| 2θ/deg | I_rel | h k l |
| --- | --- | --- |
| 27.63 | 31 | 2 0 0 |
| 30.14 | 93 | 0 0 2 |
| 30.96 | 57 | 2 1 0 |
| 31.55 | 100 | 2 0 1 |
| 39.47 | 40 | 2 2 0 |
| 43.76 | 44 | 2 1 2 |
| 47.06 | 23 | 3 1 1 |
| 50.45 | 39 | 2 2 2 |
| 54.56 | 23 | 3 1 2 |
| 66.66 | 31 | 4 2 1 |

---

Entry 3:
Theoretical powder X-ray diffraction pattern
Compound: SrMo4Se
Radiation: Cu Kα, 1.54184 Å
Structure: DFT lattice parameters and positions (PBE)
Peak positions follow from Bragg's law for the DFT cell and can differ from measured ones.

Atomic structure:
abc: 7.764 7.764 7.764
angles: 90.00 90.00 90.00
Space group F-43m (No. 216)
Asymmetric unit:
Sr 0.000 0.000 0.000 [4 per cell]
Mo 0.122 0.122 0.622 [16 per cell]
Se 0.250 0.250 0.250 [4 per cell]

Largest 10 diffraction maxima, low angle first, 2θ from 15° to 90°:
| 2θ/deg | I_rel | h k l |
| --- | --- | --- |
| 19.81 | 12 | 1 1 1 |
| 32.62 | 23 | 2 2 0 |
| 38.46 | 100 | 3 1 1 |
| 40.24 | 45 | 2 2 2 |
| 46.81 | 7 | 4 0 0 |
| 58.22 | 9 | 4 2 2 |
| 62.13 | 32 | 3 3 3 |
| 68.35 | 28 | 4 4 0 |
| 81.26 | 11 | 5 3 3 |
| 82.40 | 16 | 6 2 2 |